Record 1
For HfP, DFT lattice parameters and positions (PBE) gives the computed powder XRD pattern in this record (Cu Kα, 1.54184 Å).
Kinematic intensities with the Lorentz-polarization factor, no thermal factor.

Most intense lines, 10 to 90 degrees two-theta, in order of falling intensity:
- 2θ 35.63, d 2.520, intensity 100
- 2θ 29.03, d 3.076, intensity 69
- 2θ 49.75, d 1.833, intensity 43
- 2θ 40.62, d 2.221, intensity 32
- 2θ 28.11, d 3.174, intensity 31
- 2θ 28.72, d 3.108, intensity 30
- 2θ 58.46, d 1.579, intensity 26
- 2θ 59.65, d 1.550, intensity 20

Structural model:
abc: 3.665 3.665 12.433
angles: 90.00 90.00 120.00
Positions (direct):
1 Hf 0.333 0.667 0.116
2 Hf 0.333 0.667 0.384
3 Hf 0.667 0.333 0.616
4 Hf 0.667 0.333 0.884
5 P 0.000 0.000 0.000
6 P 0.000 0.000 0.500
7 P 0.333 0.667 0.750
8 P 0.667 0.333 0.250

***

Record 2
For Na2TeSe3, DFT lattice parameters and positions (PBE) gives the computed powder XRD pattern in this record (Cu Kα, 1.54184 Å).
Kinematic intensities with the Lorentz-polarization factor, no thermal factor.

Most intense lines, 10 to 90 degrees two-theta, in order of falling intensity:
- 2θ 28.71, d 3.109, intensity 100
- 2θ 29.32, d 3.046, intensity 53
- 2θ 42.47, d 2.128, intensity 38
- 2θ 18.40, d 4.821, intensity 29
- 2θ 16.87, d 5.254, intensity 29
- 2θ 40.51, d 2.227, intensity 25
- 2θ 41.70, d 2.166, intensity 19
- 2θ 51.80, d 1.765, intensity 17

Structural model:
abc: 6.105 12.995 8.950
angles: 90.00 93.72 90.00
Positions (direct):
1 Na 0.239 0.238 0.130
2 Na 0.239 0.262 0.630
3 Na 0.254 0.583 0.137
4 Na 0.254 0.917 0.637
5 Na 0.746 0.083 0.363
6 Na 0.746 0.417 0.863
7 Na 0.761 0.738 0.370
8 Na 0.761 0.762 0.870
9 Te 0.201 0.589 0.690
10 Te 0.201 0.911 0.190
11 Te 0.799 0.089 0.810
12 Te 0.799 0.411 0.310
13 Se 0.211 0.093 0.866
14 Se 0.211 0.407 0.366
15 Se 0.249 0.067 0.359
16 Se 0.249 0.433 0.859
17 Se 0.262 0.738 0.876
18 Se 0.262 0.762 0.376
19 Se 0.738 0.238 0.624
20 Se 0.738 0.262 0.124
21 Se 0.751 0.567 0.141
22 Se 0.751 0.933 0.641
23 Se 0.789 0.593 0.634
24 Se 0.789 0.907 0.134

***

Record 3
For Ti2AlZn, DFT lattice parameters and positions (PBE) gives the computed powder XRD pattern in this record (Cu Kα, 1.54184 Å).
Kinematic intensities with the Lorentz-polarization factor, no thermal factor.

Most intense lines, 10 to 90 degrees two-theta, in order of falling intensity:
- 2θ 39.77, d 2.267, intensity 100
- 2θ 72.19, d 1.309, intensity 30
- 2θ 57.50, d 1.603, intensity 16
- 2θ 85.72, d 1.133, intensity 9
- 2θ 27.83, d 3.205, intensity 7
- 2θ 24.04, d 3.701, intensity 7
- 2θ 47.01, d 1.933, intensity 3
- 2θ 65.06, d 1.434, intensity 2

Structural model:
abc: 6.411 6.411 6.411
angles: 90.00 90.00 90.00
Positions (direct):
1 Ti 0.000 0.000 0.000
2 Ti 0.000 0.500 0.500
3 Ti 0.250 0.250 0.250
4 Ti 0.250 0.750 0.750
5 Ti 0.500 0.000 0.500
6 Ti 0.500 0.500 0.000
7 Ti 0.750 0.250 0.750
8 Ti 0.750 0.750 0.250
9 Al 0.000 0.000 0.500
10 Al 0.000 0.500 0.000
11 Al 0.500 0.000 0.000
12 Al 0.500 0.500 0.500
13 Zn 0.250 0.250 0.750
14 Zn 0.250 0.750 0.250
15 Zn 0.750 0.250 0.250
16 Zn 0.750 0.750 0.750

***

Record 4
For K2CeCl5, DFT lattice parameters and positions (PBE) gives the computed powder XRD pattern in this record (Cu Kα, 1.54184 Å).
Kinematic intensities with the Lorentz-polarization factor, no thermal factor.

Most intense lines, 10 to 90 degrees two-theta, in order of falling intensity:
- 2θ 12.75, d 6.945, intensity 100
- 2θ 32.78, d 2.732, intensity 59
- 2θ 23.84, d 3.732, intensity 55
- 2θ 13.45, d 6.584, intensity 51
- 2θ 33.94, d 2.641, intensity 46
- 2θ 37.12, d 2.422, intensity 45
- 2θ 23.00, d 3.867, intensity 42
- 2θ 41.40, d 2.181, intensity 42

Structural model:
abc: 13.168 8.849 8.175
angles: 90.00 90.00 90.00
Positions (direct):
1 K 0.174 0.000 0.032
2 K 0.174 0.500 0.032
3 K 0.326 0.000 0.532
4 K 0.326 0.500 0.532
5 K 0.674 0.000 0.468
6 K 0.674 0.500 0.468
7 K 0.826 0.000 0.968
8 K 0.826 0.500 0.968
9 Ce 0.004 0.250 0.574
10 Ce 0.496 0.750 0.074
11 Ce 0.504 0.250 0.926
12 Ce 0.996 0.750 0.426
13 Cl 0.011 0.250 0.920
14 Cl 0.085 0.540 0.656
15 Cl 0.085 0.960 0.656
16 Cl 0.170 0.250 0.360
17 Cl 0.202 0.750 0.325
18 Cl 0.298 0.250 0.825
19 Cl 0.330 0.750 0.860
20 Cl 0.415 0.040 0.156
21 Cl 0.415 0.460 0.156
22 Cl 0.489 0.750 0.420
23 Cl 0.511 0.250 0.580
24 Cl 0.585 0.540 0.844
25 Cl 0.585 0.960 0.844
26 Cl 0.670 0.250 0.140
27 Cl 0.702 0.750 0.175
28 Cl 0.798 0.250 0.675
29 Cl 0.830 0.750 0.640
30 Cl 0.915 0.040 0.344
31 Cl 0.915 0.460 0.344
32 Cl 0.989 0.750 0.080